Starting from a structure optimized by DFT (GGA-PBE), the powder XRD pattern of LiYGa2 was computed for Cu Kα (weighted mean of Kα1 and Kα2).

Principal peaks in the range 2θ = 10–80°, in order of falling intensity:
d = 2.335 Å, 38.6 deg, I = 100; d = 3.603 Å, 24.7 deg, I = 96; d = 2.143 Å, 42.2 deg, I = 91; d = 2.640 Å, 34.0 deg, I = 89; d = 1.579 Å, 58.5 deg, I = 29; d = 1.271 Å, 74.7 deg, I = 27; d = 1.317 Å, 71.7 deg, I = 25; d = 1.664 Å, 55.2 deg, I = 21; d = 1.314 Å, 71.8 deg, I = 19; d = 1.392 Å, 67.2 deg, I = 16; d = 1.237 Å, 77.1 deg, I = 14; d = 1.842 Å, 49.5 deg, I = 14

Atomic structure:
Unit cell a=4.2853 b=4.2853 c=15.0225 alpha=90.00 beta=90.00 gamma=120.00
Space group R-3m (No. 166, hexagonal axes)
Unique sites:
Li 0.0000 0.0000 0.0000 (multiplicity 3)
Y 0.0000 0.0000 0.5000 (multiplicity 3)
Ga 0.0000 0.0000 0.2891 (multiplicity 6)

Starting from a structure optimized by DFT (GGA-PBE), the powder XRD pattern of LiYGa4 was computed for Cu Kα (weighted mean of Kα1 and Kα2).

Principal peaks in the range 2θ = 10–80°, in order of falling intensity:
d = 2.541 Å, 35.3 deg, I = 100; d = 2.176 Å, 41.5 deg, I = 98; d = 3.306 Å, 27.0 deg, I = 60; d = 1.959 Å, 46.3 deg, I = 31; d = 1.653 Å, 55.6 deg, I = 26; d = 1.316 Å, 71.7 deg, I = 24; d = 1.839 Å, 49.6 deg, I = 18; d = 3.441 Å, 25.9 deg, I = 18; d = 1.257 Å, 75.7 deg, I = 16; d = 1.350 Å, 69.7 deg, I = 14; d = 1.293 Å, 73.2 deg, I = 13; d = 6.881 Å, 12.9 deg, I = 13

Atomic structure:
Unit cell a=4.3527 b=4.3527 c=6.8813 alpha=90.00 beta=90.00 gamma=120.00
Space group P-6m2 (No. 187)
Unique sites:
Li 0.0000 0.0000 0.0000 (multiplicity 1)
Y 0.0000 0.0000 0.5000 (multiplicity 1)
Ga 0.3333 0.6667 0.1914 (multiplicity 2)
Ga 0.6667 0.3333 0.2761 (multiplicity 2)

Starting from a structure optimized by DFT (GGA-PBE), the powder XRD pattern of Li2Y2Ga was computed for Cu Kα (weighted mean of Kα1 and Kα2).

Principal peaks in the range 2θ = 10–80°, in order of falling intensity:
d = 2.772 Å, 32.3 deg, I = 100; d = 2.568 Å, 34.9 deg, I = 62; d = 3.052 Å, 29.3 deg, I = 39; d = 3.385 Å, 26.3 deg, I = 38; d = 2.375 Å, 37.9 deg, I = 28; d = 2.158 Å, 41.9 deg, I = 24; d = 4.750 Å, 18.7 deg, I = 24; d = 1.563 Å, 59.1 deg, I = 24; d = 2.413 Å, 37.3 deg, I = 23; d = 1.524 Å, 60.8 deg, I = 18; d = 1.874 Å, 48.6 deg, I = 18; d = 1.597 Å, 57.7 deg, I = 18

Atomic structure:
Unit cell a=6.8250 b=6.8250 c=4.7503 alpha=90.00 beta=90.00 gamma=90.00
Space group P4/mbm (No. 127)
Unique sites:
Li 0.1306 0.3694 0.0000 (multiplicity 4)
Y 0.1881 0.6881 0.5000 (multiplicity 4)
Ga 0.0000 0.0000 0.0000 (multiplicity 2)

Starting from a structure optimized by DFT (GGA-PBE), the powder XRD pattern of LiZn4Ga5 was computed for Cu Kα (weighted mean of Kα1 and Kα2).

Principal peaks in the range 2θ = 10–80°, in order of falling intensity:
d = 2.309 Å, 39.0 deg, I = 100; d = 2.294 Å, 39.3 deg, I = 58; d = 2.107 Å, 42.9 deg, I = 38; d = 1.943 Å, 46.8 deg, I = 32; d = 1.428 Å, 65.3 deg, I = 23; d = 3.322 Å, 26.8 deg, I = 23; d = 2.951 Å, 30.3 deg, I = 23; d = 1.983 Å, 45.7 deg, I = 20; d = 1.252 Å, 76.0 deg, I = 12; d = 4.022 Å, 22.1 deg, I = 11; d = 5.172 Å, 17.1 deg, I = 10; d = 2.977 Å, 30.0 deg, I = 9

Atomic structure:
Unit cell a=13.9480 b=4.2138 c=6.1621 alpha=90.00 beta=104.92 gamma=90.00
Space group C2/m (No. 12)
Unique sites:
Li 0.0000 0.0000 0.0000 (multiplicity 2)
Zn 0.0500 0.5000 0.7480 (multiplicity 4)
Zn 0.1743 0.0000 0.8906 (multiplicity 4)
Ga 0.0000 0.0000 0.5000 (multiplicity 2)
Ga 0.1376 0.5000 0.1998 (multiplicity 4)
Ga 0.2324 0.5000 0.6498 (multiplicity 4)

Starting from a structure optimized by DFT (GGA-PBE), the powder XRD pattern of LiZnGa3 was computed for Cu Kα (weighted mean of Kα1 and Kα2).

Principal peaks in the range 2θ = 10–80°, in order of falling intensity:
d = 2.220 Å, 40.6 deg, I = 100; d = 2.138 Å, 42.3 deg, I = 68; d = 3.079 Å, 29.0 deg, I = 68; d = 3.701 Å, 24.0 deg, I = 26; d = 1.540 Å, 60.1 deg, I = 25; d = 1.250 Å, 76.2 deg, I = 23; d = 2.498 Å, 35.9 deg, I = 11; d = 1.756 Å, 52.1 deg, I = 10; d = 1.654 Å, 55.6 deg, I = 10; d = 1.235 Å, 77.3 deg, I = 6; d = 1.387 Å, 67.5 deg, I = 6; d = 1.843 Å, 49.5 deg, I = 5

Atomic structure:
Unit cell a=4.2782 b=5.5470 c=7.3981 alpha=90.00 beta=90.00 gamma=90.00
Space group Pmmn (No. 59, origin choice 2)
Unique sites:
Li 0.2500 0.2500 0.0756 (multiplicity 2)
Zn 0.2500 0.2500 0.4354 (multiplicity 2)
Ga 0.2500 0.5102 0.7386 (multiplicity 4)
Ga 0.2500 0.7500 0.1374 (multiplicity 2)

Starting from a structure optimized by DFT (GGA-PBE), the powder XRD pattern of Li3Zn2Ga4 was computed for Cu Kα (weighted mean of Kα1 and Kα2).

Principal peaks in the range 2θ = 10–80°, in order of falling intensity:
d = 2.195 Å, 41.1 deg, I = 100; d = 3.802 Å, 23.4 deg, I = 89; d = 1.766 Å, 51.8 deg, I = 87; d = 2.971 Å, 30.1 deg, I = 69; d = 2.341 Å, 38.4 deg, I = 65; d = 1.230 Å, 77.6 deg, I = 29; d = 1.601 Å, 57.6 deg, I = 19; d = 1.293 Å, 73.2 deg, I = 12; d = 1.268 Å, 74.9 deg, I = 11; d = 1.486 Å, 62.5 deg, I = 9; d = 1.903 Å, 47.8 deg, I = 9; d = 1.384 Å, 67.7 deg, I = 9

Atomic structure:
Unit cell a=7.5943 b=13.1904 c=5.9430 alpha=90.00 beta=90.00 gamma=90.00
Space group Cccm (No. 66)
Unique sites:
Li 0.0000 0.0000 0.2500 (multiplicity 4)
Li 0.0000 0.3313 0.2500 (multiplicity 8)
Zn 0.1679 0.1679 0.0000 (multiplicity 8)
Ga 0.1637 0.1670 0.5000 (multiplicity 8)
Ga 0.1689 0.4987 0.0000 (multiplicity 8)